# 1
Starting from a crystal structure in Alexandria, relaxed with PBE, the powder X-ray diffraction pattern of Sm2Si2Ni2H was calculated for a wavelength of 1.5418 Å.
Intensities are scaled so that the largest is 100.

Crystal structure
```
data_Sm2Si2Ni2H
_chemical_formula_sum 'Sm4 Si4 Ni4 H2'
_cell_length_a 10.5353
_cell_length_b 4.0053
_cell_length_c 6.9455
_cell_angle_alpha 90.00
_cell_angle_beta 130.85
_cell_angle_gamma 90.00
_space_group_name_H-M_alt 'C 1 2/m 1'
_space_group_IT_number 12
loop_
_space_group_symop_operation_xyz
'x,y,z'
'-x,-y,-z'
'-x,y,-z'
'x,-y,z'
'x+1/2,y+1/2,z'
'-x+1/2,-y+1/2,-z'
'-x+1/2,y+1/2,-z'
'x+1/2,-y+1/2,z'
loop_
_atom_site_label
_atom_site_type_symbol
_atom_site_fract_x
_atom_site_fract_y
_atom_site_fract_z
Sm1 Sm 0.0561 0.0000 0.3215
Si1 Si 0.1559 0.5000 0.1098
Ni1 Ni 0.2060 0.5000 0.8197
H1 H 0.0000 0.5000 0.5000
```

Peak list (6 most intense, 10° ≤ 2θ ≤ 90°, most intense first)
| 2theta | d (Å) | Rel. int. | hkl |
| --- | --- | --- | --- |
| 36.10 | 2.488 | 100 | 3 1 -2 |
| 34.19 | 2.623 | 74 | 1 1 1 |
| 24.88 | 3.579 | 50 | 1 1 0 |
| 34.35 | 2.611 | 30 | 4 0 -2 |
| 40.76 | 2.214 | 27 | 3 1 0 |
| 45.28 | 2.003 | 27 | 0 2 0 |

=====

# 2
Starting from a crystal structure in Alexandria, relaxed with PBE, the powder X-ray diffraction pattern of CePm3Se4 was calculated for a wavelength of 1.5418 Å.
Intensities are scaled so that the largest is 100.

Crystal structure
```
data_CePm3Se4
_chemical_formula_sum 'Ce1 Pm3 Se4'
_cell_length_a 5.9365
_cell_length_b 5.9365
_cell_length_c 5.9365
_cell_angle_alpha 90.00
_cell_angle_beta 90.00
_cell_angle_gamma 90.00
_space_group_name_H-M_alt 'P m -3 m'
_space_group_IT_number 221
_space_group_name_Hall '-P 4 2 3'
loop_
_atom_site_label
_atom_site_type_symbol
_atom_site_fract_x
_atom_site_fract_y
_atom_site_fract_z
Ce1 Ce 0.0000 0.0000 0.0000
Pm1 Pm 0.0000 0.5000 0.5000
Se1 Se 0.0000 0.0000 0.5000
Se2 Se 0.5000 0.5000 0.5000
```

Peak list (6 most intense, 10° ≤ 2θ ≤ 90°, most intense first)
| 2theta | d (Å) | Rel. int. | hkl |
| --- | --- | --- | --- |
| 30.11 | 2.968 | 100 | 2 0 0 |
| 43.10 | 2.099 | 75 | 2 2 0 |
| 71.01 | 1.327 | 34 | 4 2 0 |
| 53.47 | 1.714 | 26 | 2 2 2 |
| 79.02 | 1.212 | 25 | 4 2 2 |
| 26.00 | 3.427 | 16 | 1 1 1 |